[1]
Tb2DyEr5In: simulated powder X-ray diffraction pattern (Cu Kα X-rays), based on a crystal structure in Alexandria, relaxed with GGA-PBE.
Neutral-atom scattering factors, no anomalous dispersion.

Atomic structure:
a = 10.402 Å, b = 10.402 Å, c = 10.388 Å
α = 90.00°, β = 90.00°, γ = 150.48°
Positions (direct):
Tb (0.116, 0.884, 0.539)
Tb (0.116, 0.884, 0.961)
Tb (0.884, 0.116, 0.039)
Tb (0.884, 0.116, 0.461)
Dy (0.208, 0.792, 0.250)
Dy (0.792, 0.208, 0.750)
Er (0.011, 0.989, 0.250)
Er (0.289, 0.711, 0.551)
Er (0.289, 0.711, 0.949)
Er (0.383, 0.617, 0.250)
Er (0.500, 0.500, 0.000)
Er (0.500, 0.500, 0.500)
Er (0.617, 0.383, 0.750)
Er (0.711, 0.289, 0.051)
Er (0.711, 0.289, 0.449)
Er (0.989, 0.011, 0.750)
In (0.404, 0.596, 0.750)
In (0.596, 0.404, 0.250)

Peak list (10 most intense, 2θ from 5° to 70°, in order of rising 2θ)
2theta  intensity
27.48  11
27.96  13
31.17  29
32.84  100
33.82  31
34.54  16
49.12  12
57.51  9
59.86  26
63.28  9

[2]
DyEr5TlIn2: simulated powder X-ray diffraction pattern (Cu Kα X-rays), based on a crystal structure in Alexandria, relaxed with GGA-PBE.
Neutral-atom scattering factors, no anomalous dispersion.

Atomic structure:
a = 9.340 Å, b = 9.340 Å, c = 9.340 Å
α = 126.13°, β = 126.13°, γ = 79.68°
Positions (direct):
Dy (0.250, 0.750, 0.500)
Dy (0.750, 0.250, 0.500)
Er (0.000, 0.000, 0.000)
Er (0.077, 0.577, 0.921)
Er (0.155, 0.077, 0.500)
Er (0.345, 0.845, 0.921)
Er (0.423, 0.345, 0.500)
Er (0.500, 0.500, 0.000)
Er (0.577, 0.655, 0.500)
Er (0.655, 0.155, 0.079)
Er (0.845, 0.923, 0.500)
Er (0.923, 0.423, 0.079)
Tl (0.250, 0.250, 0.000)
Tl (0.750, 0.750, 0.000)
In (0.111, 0.389, 0.500)
In (0.389, 0.889, 0.278)
In (0.611, 0.111, 0.722)
In (0.889, 0.611, 0.500)

Peak list (10 most intense, 2θ from 5° to 70°, in order of rising 2θ)
2theta  intensity
29.87  54
30.12  31
32.74  100
33.49  12
38.89  12
44.63  18
50.93  10
54.86  23
60.17  14
64.22  10

[3]
DyEr2Tm2In: simulated powder X-ray diffraction pattern (Cu Kα X-rays), based on a crystal structure in Alexandria, relaxed with GGA-PBE.
Neutral-atom scattering factors, no anomalous dispersion.

Atomic structure:
a = 6.603 Å, b = 9.850 Å, c = 5.294 Å
α = 90.00°, β = 90.00°, γ = 90.00°
Positions (direct):
Dy (0.000, 0.000, 0.000)
Dy (0.500, 0.500, 0.500)
Er (0.241, 0.338, 0.000)
Er (0.259, 0.838, 0.500)
Er (0.741, 0.162, 0.500)
Er (0.759, 0.662, 0.000)
Tm (0.245, 0.664, 0.000)
Tm (0.255, 0.164, 0.500)
Tm (0.745, 0.836, 0.500)
Tm (0.755, 0.336, 0.000)
In (0.000, 0.500, 0.500)
In (0.500, 0.000, 0.000)

Peak list (10 most intense, 2θ from 5° to 70°, in order of rising 2θ)
2theta  intensity
32.08  100
32.66  36
33.25  79
33.87  43
42.42  16
45.98  18
47.76  25
58.32  18
59.47  17
65.73  25

[4]
Dy2ErTm5In: simulated powder X-ray diffraction pattern (Cu Kα X-rays), based on a crystal structure in Alexandria, relaxed with GGA-PBE.
Neutral-atom scattering factors, no anomalous dispersion.

Atomic structure:
a = 10.435 Å, b = 10.435 Å, c = 10.267 Å
α = 90.00°, β = 90.00°, γ = 150.87°
Positions (direct):
Dy (0.116, 0.884, 0.536)
Dy (0.116, 0.884, 0.964)
Dy (0.884, 0.116, 0.036)
Dy (0.884, 0.116, 0.464)
Er (0.209, 0.791, 0.250)
Er (0.791, 0.209, 0.750)
Tm (0.009, 0.991, 0.250)
Tm (0.287, 0.713, 0.553)
Tm (0.287, 0.713, 0.947)
Tm (0.381, 0.619, 0.250)
Tm (0.500, 0.500, 0.000)
Tm (0.500, 0.500, 0.500)
Tm (0.619, 0.381, 0.750)
Tm (0.713, 0.287, 0.053)
Tm (0.713, 0.287, 0.447)
Tm (0.991, 0.009, 0.750)
In (0.403, 0.597, 0.750)
In (0.597, 0.403, 0.250)

Peak list (10 most intense, 2θ from 5° to 70°, in order of rising 2θ)
2theta  intensity
27.69  13
27.89  14
31.52  30
32.98  100
34.17  31
34.96  16
44.87  8
49.69  12
60.42  18
63.86  8

[5]
Dy5ErTmIn2: simulated powder X-ray diffraction pattern (Cu Kα X-rays), based on a crystal structure in Alexandria, relaxed with GGA-PBE.
Neutral-atom scattering factors, no anomalous dispersion.

Atomic structure:
a = 11.005 Å, b = 11.005 Å, c = 11.005 Å
α = 139.45°, β = 139.45°, γ = 58.69°
Positions (direct):
Dy (0.000, 0.000, 0.000)
Dy (0.077, 0.577, 0.905)
Dy (0.172, 0.077, 0.500)
Dy (0.328, 0.828, 0.905)
Dy (0.423, 0.328, 0.500)
Dy (0.500, 0.500, 0.000)
Dy (0.577, 0.672, 0.500)
Dy (0.672, 0.172, 0.095)
Dy (0.828, 0.923, 0.500)
Dy (0.923, 0.423, 0.095)
Er (0.250, 0.250, 0.000)
Er (0.750, 0.750, 0.000)
Tm (0.250, 0.750, 0.500)
Tm (0.750, 0.250, 0.500)
In (0.123, 0.377, 0.500)
In (0.377, 0.877, 0.253)
In (0.623, 0.123, 0.747)
In (0.877, 0.623, 0.500)

Peak list (10 most intense, 2θ from 5° to 70°, in order of rising 2θ)
2theta  intensity
29.68  33
29.93  100
33.22  31
35.20  20
37.28  9
37.50  24
49.50  8
50.96  19
57.33  14
63.05  12

[6]
Dy6Y2Er3In: simulated powder X-ray diffraction pattern (Cu Kα X-rays), based on a crystal structure in Alexandria, relaxed with GGA-PBE.
Neutral-atom scattering factors, no anomalous dispersion.

Atomic structure:
a = 6.066 Å, b = 6.066 Å, c = 11.629 Å
α = 95.01°, β = 95.01°, γ = 120.05°
Positions (direct):
Dy (0.083, 0.411, 0.749)
Dy (0.246, 0.246, 0.249)
Dy (0.411, 0.083, 0.749)
Dy (0.589, 0.917, 0.251)
Dy (0.754, 0.754, 0.751)
Dy (0.917, 0.589, 0.251)
Y (0.334, 0.666, 0.500)
Y (0.666, 0.334, 0.500)
Er (0.167, 0.833, 0.000)
Er (0.500, 0.500, 0.000)
Er (0.833, 0.167, 0.000)
In (0.000, 0.000, 0.500)

Peak list (10 most intense, 2θ from 5° to 70°, in order of rising 2θ)
2theta  intensity
7.72  7
15.48  1
29.57  1
31.27  100
32.27  1
36.27  50
52.23  36
62.11  14
62.17  28
65.24  12

[7]
DyYErIn: simulated powder X-ray diffraction pattern (Cu Kα X-rays), based on a crystal structure in Alexandria, relaxed with GGA-PBE.
Neutral-atom scattering factors, no anomalous dispersion.

Atomic structure:
a = 4.824 Å, b = 4.828 Å, c = 4.856 Å
α = 90.00°, β = 90.00°, γ = 90.00°
Positions (direct):
Dy (0.000, 0.000, 0.000)
Y (0.000, 0.500, 0.500)
Er (0.500, 0.500, 0.000)
In (0.500, 0.000, 0.500)

Peak list (10 most intense, 2θ from 5° to 70°, in order of rising 2θ)
2theta  intensity
18.27  5
26.11  4
32.06  100
37.02  17
37.26  33
53.54  23
53.72  11
63.62  14
63.94  27
67.04  12

[8]
DyEr4Ir4: simulated powder X-ray diffraction pattern (Cu Kα X-rays), based on a crystal structure in Alexandria, relaxed with GGA-PBE.
Neutral-atom scattering factors, no anomalous dispersion.

Atomic structure:
a = 8.813 Å, b = 8.813 Å, c = 5.617 Å
α = 90.00°, β = 90.00°, γ = 90.00°
Positions (direct):
Dy (0.250, 0.250, 0.250)
Dy (0.750, 0.750, 0.750)
Er (0.078, 0.661, 0.139)
Er (0.161, 0.922, 0.639)
Er (0.339, 0.578, 0.639)
Er (0.422, 0.839, 0.139)
Er (0.578, 0.161, 0.861)
Er (0.661, 0.422, 0.361)
Er (0.839, 0.078, 0.361)
Er (0.922, 0.339, 0.861)
Ir (0.027, 0.619, 0.640)
Ir (0.119, 0.973, 0.140)
Ir (0.381, 0.527, 0.140)
Ir (0.473, 0.881, 0.640)
Ir (0.527, 0.119, 0.360)
Ir (0.619, 0.473, 0.860)
Ir (0.881, 0.027, 0.860)
Ir (0.973, 0.381, 0.360)

Peak list (10 most intense, 2θ from 5° to 70°, in order of rising 2θ)
2theta  intensity
14.21  13
18.73  17
32.12  100
33.49  49
39.40  30
40.24  21
44.64  28
45.40  14
46.06  30
49.43  31

[9]
Dy3Er4Ir4: simulated powder X-ray diffraction pattern (Cu Kα X-rays), based on a crystal structure in Alexandria, relaxed with GGA-PBE.
Neutral-atom scattering factors, no anomalous dispersion.

Atomic structure:
a = 9.200 Å, b = 9.200 Å, c = 9.200 Å
α = 155.99°, β = 124.33°, γ = 61.48°
Positions (direct):
Dy (0.000, 0.000, 0.000)
Dy (0.399, 0.899, 0.500)
Dy (0.601, 0.101, 0.500)
Er (0.023, 0.333, 0.691)
Er (0.358, 0.667, 0.691)
Er (0.642, 0.333, 0.309)
Er (0.977, 0.667, 0.309)
Ir (0.248, 0.248, 0.000)
Ir (0.287, 0.500, 0.787)
Ir (0.713, 0.500, 0.213)
Ir (0.752, 0.752, 0.000)

Peak list (10 most intense, 2θ from 5° to 70°, in order of rising 2θ)
2theta  intensity
30.11  17
31.82  100
34.24  82
35.68  44
36.87  24
40.14  44
40.98  37
47.51  29
60.81  19
63.89  51

[10]
DyEr4Ir5: simulated powder X-ray diffraction pattern (Cu Kα X-rays), based on a crystal structure in Alexandria, relaxed with GGA-PBE.
Neutral-atom scattering factors, no anomalous dispersion.

Atomic structure:
a = 3.326 Å, b = 3.326 Å, c = 17.758 Å
α = 90.00°, β = 90.00°, γ = 90.00°
Positions (direct):
Dy (0.000, 0.000, 0.000)
Er (0.000, 0.000, 0.201)
Er (0.000, 0.000, 0.400)
Er (0.000, 0.000, 0.600)
Er (0.000, 0.000, 0.799)
Ir (0.500, 0.500, 0.102)
Ir (0.500, 0.500, 0.301)
Ir (0.500, 0.500, 0.500)
Ir (0.500, 0.500, 0.699)
Ir (0.500, 0.500, 0.898)

Peak list (7 most intense, 2θ from 5° to 70°, in order of rising 2θ)
2theta  intensity
26.80  1
37.03  100
38.27  46
51.46  10
55.23  16
65.91  19
68.37  34

[11]
Dy2Er2Si4Ir: simulated powder X-ray diffraction pattern (Cu Kα X-rays), based on a crystal structure in Alexandria, relaxed with GGA-PBE.
Neutral-atom scattering factors, no anomalous dispersion.

Atomic structure:
a = 6.419 Å, b = 6.419 Å, c = 6.419 Å
α = 115.89°, β = 115.89°, γ = 97.28°
Positions (direct):
Dy (0.250, 0.750, 0.500)
Dy (0.750, 0.250, 0.500)
Er (0.188, 0.188, 0.000)
Er (0.812, 0.812, 0.000)
Si (0.251, 0.251, 0.502)
Si (0.251, 0.749, 0.000)
Si (0.749, 0.251, 0.000)
Si (0.749, 0.749, 0.498)
Ir (0.500, 0.500, 0.000)

Peak list (10 most intense, 2θ from 5° to 70°, in order of rising 2θ)
2theta  intensity
18.41  17
26.16  100
28.03  24
33.74  46
34.33  47
37.33  69
43.67  48
53.82  24
58.77  20
60.79  20

[12]
La9DyEr4: simulated powder X-ray diffraction pattern (Cu Kα X-rays), based on a crystal structure in Alexandria, relaxed with GGA-PBE.
Neutral-atom scattering factors, no anomalous dispersion.

Atomic structure:
a = 10.036 Å, b = 10.036 Å, c = 11.487 Å
α = 90.00°, β = 90.00°, γ = 120.00°
Positions (direct):
La (0.078, 0.539, 0.250)
La (0.207, 0.414, 0.529)
La (0.207, 0.414, 0.971)
La (0.207, 0.793, 0.529)
La (0.207, 0.793, 0.971)
La (0.414, 0.207, 0.029)
La (0.414, 0.207, 0.471)
La (0.461, 0.539, 0.250)
La (0.461, 0.922, 0.250)
La (0.539, 0.078, 0.750)
La (0.539, 0.461, 0.750)
La (0.586, 0.793, 0.529)
La (0.586, 0.793, 0.971)
La (0.793, 0.207, 0.029)
La (0.793, 0.207, 0.471)
La (0.793, 0.586, 0.029)
La (0.793, 0.586, 0.471)
La (0.922, 0.461, 0.750)
Dy (0.333, 0.667, 0.750)
Dy (0.667, 0.333, 0.250)
Er (0.000, 0.000, 0.000)
Er (0.000, 0.000, 0.500)
Er (0.109, 0.218, 0.250)
Er (0.109, 0.891, 0.250)
Er (0.218, 0.109, 0.750)
Er (0.782, 0.891, 0.250)
Er (0.891, 0.109, 0.750)
Er (0.891, 0.782, 0.750)

Peak list (10 most intense, 2θ from 5° to 70°, in order of rising 2θ)
2theta  intensity
21.87  11
31.14  54
31.37  100
31.86  38
35.79  11
50.71  22
54.89  17
55.21  21
55.56  12
64.47  23